Record 1
Theoretical X-ray diffraction stick pattern of Tl7CdIn12 for a wavelength of 1.5418 Å, from a DFT-relaxed cell (PBE, Alexandria).

Peak list (10 most intense, 2θ from 15° to 90°, sorted by position)
| two_theta | intensity | h k l |
| --- | --- | --- |
| 29.65 | 38 | 1 3 1 |
| 31.46 | 72 | 1 0 4 |
| 32.51 | 77 | 3 1 2 |
| 32.77 | 100 | 4 0 1 |
| 33.08 | 70 | 0 3 3 |
| 35.41 | 44 | 0 4 2 |
| 35.93 | 17 | 2 2 3 |
| 52.70 | 27 | 3 0 6 |
| 56.75 | 29 | 4 4 0 |
| 59.07 | 39 | 4 3 4 |

```
data_Tl7CdIn12
_chemical_formula_sum 'Tl21 Cd3 In36'
_space_group_name_H-M_alt 'R -3 m'
_space_group_IT_number 166
_space_group_name_Hall '-R 3 2"'
_cell_length_a 12.9777
_cell_length_b 12.9777
_cell_length_c 11.7578
_cell_angle_alpha 90.00
_cell_angle_beta 90.00
_cell_angle_gamma 120.00
loop_
_atom_site_label
_atom_site_type_symbol
_atom_site_fract_x
_atom_site_fract_y
_atom_site_fract_z
Tl1 Tl 0.0000 0.0000 0.0000
Tl2 Tl 0.0876 0.1752 0.2573
Cd1 Cd 0.0000 0.0000 0.5000
In1 In 0.0000 0.2562 0.5000
In2 In 0.0431 0.5215 0.6248
```

---

Record 2
Theoretical X-ray diffraction stick pattern of GdMgAlTl for a wavelength of 1.5418 Å, from a DFT-relaxed cell (PBE, Alexandria).

Peak list (10 most intense, 2θ from 15° to 90°, sorted by position)
| two_theta | intensity | h k l |
| --- | --- | --- |
| 21.14 | 64 | 1 1 1 |
| 34.86 | 100 | 2 2 0 |
| 41.13 | 36 | 3 1 1 |
| 50.13 | 18 | 4 0 0 |
| 54.99 | 16 | 3 3 1 |
| 62.51 | 37 | 4 2 2 |
| 66.78 | 12 | 5 1 1 |
| 73.61 | 11 | 4 4 0 |
| 77.60 | 12 | 5 3 1 |
| 84.11 | 16 | 6 2 0 |

```
data_GdMgAlTl
_chemical_formula_sum 'Gd4 Mg4 Al4 Tl4'
_space_group_name_H-M_alt 'F -4 3 m'
_space_group_IT_number 216
_space_group_name_Hall 'F -4 2 3'
_cell_length_a 7.279
_cell_length_b 7.279
_cell_length_c 7.279
_cell_angle_alpha 90.00
_cell_angle_beta 90.00
_cell_angle_gamma 90.00
loop_
_atom_site_label
_atom_site_type_symbol
_atom_site_fract_x
_atom_site_fract_y
_atom_site_fract_z
Gd1 Gd 0.000 0.000 0.000
Mg1 Mg 0.000 0.000 0.500
Al1 Al 0.250 0.250 0.250
Tl1 Tl 0.250 0.250 0.750
```

---

Record 3
Theoretical X-ray diffraction stick pattern of Dy7Co6Sn23 for a wavelength of 1.5418 Å, from a DFT-relaxed cell (PBE, Alexandria).

Peak list (10 most intense, 2θ from 15° to 90°, sorted by position)
| two_theta | intensity | h k l |
| --- | --- | --- |
| 32.76 | 18 | 1 1 3 |
| 33.22 | 100 | 0 3 1 |
| 33.49 | 63 | 1 2 2 |
| 34.50 | 53 | 2 0 3 |
| 36.83 | 46 | 3 0 2 |
| 37.04 | 28 | 2 2 0 |
| 37.81 | 23 | 0 1 4 |
| 41.42 | 17 | 2 2 2 |
| 56.88 | 37 | 3 3 0 |
| 60.83 | 24 | 2 3 4 |

```
data_Dy7Co6Sn23
_chemical_formula_sum 'Dy7 Co6 Sn23'
_space_group_name_H-M_alt 'P -3 m 1'
_space_group_IT_number 164
_space_group_name_Hall '-P 3 2"'
_cell_length_a 9.7083
_cell_length_b 9.7083
_cell_length_c 9.9234
_cell_angle_alpha 90.00
_cell_angle_beta 90.00
_cell_angle_gamma 120.00
loop_
_atom_site_label
_atom_site_type_symbol
_atom_site_fract_x
_atom_site_fract_y
_atom_site_fract_z
Dy1 Dy 0.0000 0.0000 0.0000
Dy2 Dy 0.0431 0.5216 0.3069
Co1 Co 0.1681 0.3362 0.8021
Sn1 Sn 0.0000 0.0000 0.5000
Sn2 Sn 0.0000 0.3466 0.0000
Sn3 Sn 0.1172 0.2345 0.2734
Sn4 Sn 0.2178 0.4357 0.5474
Sn5 Sn 0.3333 0.6667 0.1153
Sn6 Sn 0.3333 0.6667 0.8198
```

---

Record 4
Theoretical X-ray diffraction stick pattern of Tb3PrPb2 for a wavelength of 1.5418 Å, from a DFT-relaxed cell (PBE, Alexandria).

Peak list (10 most intense, 2θ from 15° to 90°, sorted by position)
| two_theta | intensity | h k l |
| --- | --- | --- |
| 27.43 | 27 | 1 1 0 |
| 29.30 | 84 | 1 1 1 |
| 30.65 | 44 | 0 0 3 |
| 34.36 | 100 | 1 1 2 |
| 36.47 | 20 | 1 0 3 |
| 39.17 | 61 | 2 0 0 |
| 50.54 | 44 | 2 0 3 |
| 56.60 | 21 | 2 2 0 |
| 65.75 | 20 | 2 2 3 |
| 67.92 | 28 | 3 1 2 |

```
data_Tb3PrPb2
_chemical_formula_sum 'Tb3 Pr1 Pb2'
_space_group_name_H-M_alt 'P -4 m 2'
_space_group_IT_number 115
_cell_length_a 4.599
_cell_length_b 4.599
_cell_length_c 8.751
_cell_angle_alpha 90.00
_cell_angle_beta 90.00
_cell_angle_gamma 90.00
loop_
_space_group_symop_operation_xyz
'x,y,z'
'y,-x,-z'
'-x,-y,z'
'-y,x,-z'
'-x,y,z'
'-y,-x,-z'
'x,-y,z'
'y,x,-z'
loop_
_atom_site_label
_atom_site_type_symbol
_atom_site_fract_x
_atom_site_fract_y
_atom_site_fract_z
Tb1 Tb 0.000 0.000 0.000
Tb2 Tb 0.000 0.500 0.655
Pr1 Pr 0.500 0.500 0.000
Pb1 Pb 0.000 0.500 0.290
```

---

Record 5
Theoretical X-ray diffraction stick pattern of Ac2HoTl for a wavelength of 1.5418 Å, from a DFT-relaxed cell (PBE, Alexandria).

Peak list (9 most intense, 2θ from 15° to 90°, sorted by position)
| two_theta | intensity | h k l |
| --- | --- | --- |
| 21.32 | 1 | 2 0 0 |
| 30.33 | 100 | 2 2 0 |
| 43.43 | 19 | 4 0 0 |
| 48.87 | 1 | 4 2 0 |
| 53.89 | 41 | 4 2 2 |
| 63.10 | 13 | 4 4 0 |
| 71.60 | 18 | 6 2 0 |
| 79.71 | 4 | 4 4 4 |
| 87.60 | 22 | 6 4 2 |

```
data_Ac2HoTl
_chemical_formula_sum 'Ac8 Ho4 Tl4'
_space_group_name_H-M_alt 'F m -3 m'
_space_group_IT_number 225
_space_group_name_Hall '-F 4 2 3'
_cell_length_a 8.335
_cell_length_b 8.335
_cell_length_c 8.335
_cell_angle_alpha 90.00
_cell_angle_beta 90.00
_cell_angle_gamma 90.00
loop_
_atom_site_label
_atom_site_type_symbol
_atom_site_fract_x
_atom_site_fract_y
_atom_site_fract_z
Ac1 Ac 0.250 0.250 0.250
Ho1 Ho 0.000 0.000 0.000
Tl1 Tl 0.000 0.000 0.500
```

---

Record 6
Theoretical X-ray diffraction stick pattern of Nd3Ho4Pt4 for a wavelength of 1.5418 Å, from a DFT-relaxed cell (PBE, Alexandria).

Peak list (10 most intense, 2θ from 15° to 90°, sorted by position)
| two_theta | intensity | h k l |
| --- | --- | --- |
| 30.54 | 100 | 1 2 1 |
| 30.87 | 27 | 0 1 5 |
| 32.19 | 53 | 1 1 4 |
| 34.51 | 15 | 0 0 6 |
| 34.71 | 30 | 1 0 5 |
| 38.66 | 15 | 0 3 3 |
| 39.11 | 43 | 2 0 0 |
| 41.48 | 37 | 1 3 2 |
| 41.74 | 18 | 0 2 6 |
| 41.93 | 30 | 1 2 5 |

```
data_Nd3Ho4Pt4
_chemical_formula_sum 'Nd6 Ho8 Pt8'
_space_group_name_H-M_alt 'I m m m'
_space_group_IT_number 71
_space_group_name_Hall '-I 2 2'
_cell_length_a 4.607
_cell_length_b 7.817
_cell_length_c 15.592
_cell_angle_alpha 90.00
_cell_angle_beta 90.00
_cell_angle_gamma 90.00
loop_
_atom_site_label
_atom_site_type_symbol
_atom_site_fract_x
_atom_site_fract_y
_atom_site_fract_z
Nd1 Nd 0.000 0.000 0.000
Nd2 Nd 0.000 0.500 0.102
Ho1 Ho 0.000 0.289 0.328
Pt1 Pt 0.000 0.000 0.209
Pt2 Pt 0.000 0.187 0.500
```

---

Record 7
Theoretical X-ray diffraction stick pattern of LiScZn6Cu for a wavelength of 1.5418 Å, from a DFT-relaxed cell (PBE, Alexandria).

Peak list (10 most intense, 2θ from 15° to 90°, sorted by position)
| two_theta | intensity | h k l |
| --- | --- | --- |
| 16.85 | 49 | 0 0 2 |
| 20.39 | 38 | 0 2 0 |
| 33.69 | 100 | 2 2 0 |
| 35.47 | 86 | 1 2 3 |
| 40.04 | 49 | 0 2 4 |
| 41.21 | 36 | 3 0 1 |
| 41.46 | 67 | 0 4 0 |
| 43.70 | 59 | 2 0 4 |
| 46.39 | 42 | 3 2 1 |
| 48.67 | 33 | 2 2 4 |

```
data_LiScZn6Cu
_chemical_formula_sum 'Li4 Sc4 Zn24 Cu4'
_space_group_name_H-M_alt 'I m m a'
_space_group_IT_number 74
_space_group_name_Hall '-I 2b 2'
_cell_length_a 6.719
_cell_length_b 8.712
_cell_length_c 10.522
_cell_angle_alpha 90.00
_cell_angle_beta 90.00
_cell_angle_gamma 90.00
loop_
_atom_site_label
_atom_site_type_symbol
_atom_site_fract_x
_atom_site_fract_y
_atom_site_fract_z
Li1 Li 0.250 0.250 0.250
Sc1 Sc 0.000 0.250 0.703
Zn1 Zn 0.000 0.250 0.014
Zn2 Zn 0.000 0.250 0.433
Zn3 Zn 0.192 0.026 0.873
Cu1 Cu 0.000 0.000 0.500
```